Theoretical X-ray diffraction stick pattern
Compound: Cs2CeAgBr6
Radiation: Cu Kα (weighted mean of Kα1 and Kα2)
Structure: a DFT-relaxed cell (GGA-PBE, the Materials Project)
Peak positions follow from Bragg's law for the DFT cell and can differ from measured ones.

Structure:
a b c (Å): 11.589 11.589 11.589
angles (deg): 90.00 90.00 90.00
Space group Fm-3m (No. 225)
Asymmetric unit:
Cs (0.250, 0.250, 0.250) x8
Ce (0.000, 0.000, 0.000) x4
Ag (0.000, 0.000, 0.500) x4
Br (0.000, 0.000, 0.251) x24

Most intense lines, 10 to 90 degrees two-theta, low angle first:
index, 2theta, intensity
2 2 0, 21.69, 58
2 2 2, 26.65, 49
4 0 0, 30.86, 100
4 2 2, 38.04, 27
4 4 0, 44.21, 73
8 4 0, 73.03, 32